Structure and calculated powder XRD pattern of MgO2 (a DFT-relaxed cell (GGA-PBE, the Materials Project); CuKα).

Top 6 peaks for 2θ = 10–90°, by angle:
22.68 deg, rel. 100, (0 0 1); 38.96 deg, rel. 31, (2 0 1); 39.19 deg, rel. 92, (1 1 -1); 54.00 deg, rel. 37, (3 1 0); 56.52 deg, rel. 28, (1 1 -2); 61.00 deg, rel. 16, (3 1 1)

Lattice parameters (Å, degrees): 6.117 3.093 3.935 90.00 94.93 90.00
Space group C2/m (No. 12)
One atom of each set of equivalent atoms:
1 Mg 0.000 0.000 0.000
2 O 0.187 0.500 0.795

Structure and calculated powder XRD pattern of PrSm (a DFT-relaxed cell (GGA-PBE, the Materials Project); CuKα).

Top 6 peaks for 2θ = 10–90°, by angle:
27.98 deg, rel. 23, (1 0 0); 29.51 deg, rel. 27, (0 0 2); 31.72 deg, rel. 100, (1 0 1); 49.51 deg, rel. 19, (1 1 0); 53.76 deg, rel. 23, (1 0 3); 58.70 deg, rel. 23, (1 1 2)

Lattice parameters (Å, degrees): 3.6819 3.6819 6.0534 90.00 90.00 120.00
Space group P-6m2 (No. 187)
One atom of each set of equivalent atoms:
1 Pr 0.0000 0.0000 0.0000
2 Sm 0.6667 0.3333 0.5000

Structure and calculated powder XRD pattern of Lu2Co17 (a DFT-relaxed cell (GGA-PBE, the Materials Project); CuKα).

Top 6 peaks for 2θ = 10–90°, by angle:
31.05 deg, rel. 45, (1 1 2); 37.86 deg, rel. 42, (3 0 0); 42.10 deg, rel. 39, (2 0 3); 44.00 deg, rel. 61, (2 2 0); 44.24 deg, rel. 100, (3 0 2); 44.96 deg, rel. 31, (0 0 4)

Lattice parameters (Å, degrees): 8.2314 8.2314 8.0651 90.00 90.00 120.00
Space group P6_3/mmc (No. 194)
One atom of each set of equivalent atoms:
1 Lu 0.0000 0.0000 0.2500
2 Lu 0.3333 0.6667 0.2500
3 Co 0.0000 0.5000 0.0000
4 Co 0.0444 0.3722 0.7500
5 Co 0.1662 0.3325 0.0222
6 Co 0.3333 0.6667 0.6066

Structure and calculated powder XRD pattern of Al4InAgS8 (a DFT-relaxed cell (GGA-PBE, the Materials Project); CuKα).

Top 6 peaks for 2θ = 10–90°, by angle:
24.46 deg, rel. 63, (1 1 0); 28.37 deg, rel. 43, (0 1 5); 28.63 deg, rel. 100, (1 1 3); 34.66 deg, rel. 46, (0 2 4); 49.51 deg, rel. 51, (2 0 8); 50.14 deg, rel. 53, (2 2 0)

Lattice parameters (Å, degrees): 7.2782 7.2782 18.1492 90.00 90.00 120.00
Space group R3m (No. 160, hexagonal axes)
One atom of each set of equivalent atoms:
1 Al 0.0000 0.0000 0.0000
2 Al 0.0209 0.5104 0.1268
3 In 0.0000 0.0000 0.6206
4 Ag 0.0000 0.0000 0.2524
5 S 0.0000 0.0000 0.3866
6 S 0.0000 0.0000 0.8668
7 S 0.0120 0.5060 0.3823
8 S 0.1774 0.3547 0.1977